Structure and theoretical XRD peak list of HoTe2ClO5 (a DFT-relaxed cell (PBE, Alexandria); Cu Kα (weighted mean of Kα1 and Kα2)).

Structure:
Unit cell a=7.655 b=8.014 c=10.716 alpha=101.19 beta=99.76 gamma=92.06
Space group P-1 (No. 2)
Inequivalent atoms, fractional coordinates:
Ho: 0.237 0.485 0.448
Ho: 0.255 0.005 0.519
Te: 0.001 0.928 0.756
Te: 0.175 0.377 0.751
Te: 0.374 0.789 0.245
Te: 0.449 0.758 0.752
Cl: 0.167 0.416 0.172
Cl: 0.347 0.116 0.909
O: 0.037 0.081 0.639
O: 0.062 0.455 0.604
O: 0.164 0.199 0.388
O: 0.168 0.910 0.172
O: 0.227 0.808 0.655
O: 0.282 0.741 0.391
O: 0.331 0.589 0.830
O: 0.348 0.277 0.652
O: 0.468 0.005 0.360
O: 0.489 0.601 0.605

Largest 8 diffraction maxima, in order of falling intensity, 2θ = 5–70°:
| 2theta | Rel. int. |
| --- | --- |
| 8.6 | 100 |
| 25.5 | 30 |
| 31.8 | 18 |
| 27.6 | 17 |
| 26.7 | 17 |
| 26.4 | 16 |
| 25.9 | 16 |
| 29.8 | 15 |